1.
The following is a simulated powder XRD pattern of K3MnBr5. It was derived from a structure optimized by DFT (PBE), using a wavelength of 1.5418 Å.
Neutral-atom scattering factors, no anomalous dispersion.

Principal peaks in the range 2θ from 5° to 70°, in order of falling intensity:
2θ = 28.19°, I = 100
2θ = 31.10°, I = 37
2θ = 30.75°, I = 24
2θ = 47.99°, I = 19
2θ = 18.11°, I = 18
2θ = 57.57°, I = 18

Atomic structure:
abc: 9.9268 9.9268 9.9268
angles: 125.48 125.48 80.74
Sites, in units of the cell vectors:
K1 0.1605 0.6605 0.8210
K2 0.2500 0.2500 0.0000
K3 0.3395 0.1605 0.5000
K4 0.6605 0.8395 0.5000
K5 0.7500 0.7500 0.0000
K6 0.8395 0.3395 0.1790
Mn1 0.2500 0.7500 0.5000
Mn2 0.7500 0.2500 0.5000
Br1 0.0000 0.0000 0.0000
Br2 0.0031 0.2015 0.5000
Br3 0.2015 0.7015 0.1984
Br4 0.2985 0.4969 0.5000
Br5 0.4969 0.9969 0.1984
Br6 0.5000 0.5000 0.0000
Br7 0.5031 0.0031 0.8016
Br8 0.7015 0.5031 0.5000
Br9 0.7985 0.2985 0.8016
Br10 0.9969 0.7985 0.5000


2.
The following is a simulated powder XRD pattern of KMn2Br6. It was derived from a structure optimized by DFT (PBE), using a wavelength of 1.5418 Å.
Neutral-atom scattering factors, no anomalous dispersion.

Principal peaks in the range 2θ from 5° to 70°, in order of falling intensity:
2θ = 28.81°, I = 100
2θ = 35.89°, I = 64
2θ = 12.05°, I = 40
2θ = 19.25°, I = 28
2θ = 46.00°, I = 26
2θ = 45.57°, I = 25

Atomic structure:
abc: 6.8354 6.8354 7.3475
angles: 90.00 90.00 120.00
Sites, in units of the cell vectors:
K1 0.0000 0.0000 0.0000
Mn1 0.3333 0.6667 0.5000
Mn2 0.6667 0.3333 0.5000
Br1 0.0000 0.3789 0.7059
Br2 0.0000 0.6211 0.2941
Br3 0.3789 0.0000 0.7059
Br4 0.3789 0.3789 0.2941
Br5 0.6211 0.0000 0.2941
Br6 0.6211 0.6211 0.7059